Entry 1:
# PrSm2Er2Tm
Theoretical powder diffraction line list, Cu Ka. Input: a crystal structure in Alexandria, relaxed with GGA-PBE.

Largest 6 diffraction maxima, by angle, 2θ = 10–80°:
2θ (°), I/Imax, h k l
27.94, 44.0, 2 2 0
30.32, 100.0, 0 3 1
32.99, 37.3, 0 6 0
33.94, 48.3, 2 4 0
36.83, 59.9, 2 1 1
54.17, 30.9, 2 7 1

Crystal structure
abc: 6.9419 16.2887 3.5104
angles: 90.00 90.00 90.00
Space group Pnnm (No. 58)
One atom of each set of equivalent atoms:
Pr  0.0000  0.0000  0.0000
Sm  0.2472  0.3396  0.0000
Er  0.2491  0.1533  0.5000
Tm  0.0000  0.5000  0.5000

Entry 2:
# Pr6SmEr2Tm
Theoretical powder diffraction line list, Cu Ka. Input: a crystal structure in Alexandria, relaxed with GGA-PBE.

Largest 6 diffraction maxima, by angle, 2θ = 10–80°:
2θ (°), I/Imax, h k l
28.03, 42.4, 1 3 2
29.78, 54.8, 3 1 -1
30.25, 66.8, 0 2 3
30.67, 100.0, 2 2 2
30.90, 41.4, 2 4 -1
33.43, 37.4, 1 3 -3

Crystal structure
abc: 9.3619 15.3669 9.6672
angles: 90.00 97.06 90.00
Space group C2/c (No. 15)
One atom of each set of equivalent atoms:
Pr  0.0608  0.1761  0.4456
Pr  0.0965  0.3903  0.6166
Pr  0.2171  0.2210  0.8111
Sm  0.0000  0.0284  0.7500
Er  0.2493  0.4518  0.9519
Tm  0.0000  0.4129  0.2500

Entry 3:
# Pr6Sm2Er3Tm
Theoretical powder diffraction line list, Cu Ka. Input: a crystal structure in Alexandria, relaxed with GGA-PBE.

Largest 6 diffraction maxima, by angle, 2θ = 10–80°:
2θ (°), I/Imax, h k l
30.10, 100.0, 1 3 1
30.52, 32.1, 0 0 4
35.02, 66.9, 2 0 2
50.09, 24.4, 0 6 0
50.64, 23.5, 1 3 5
59.80, 19.0, 3 3 3

Crystal structure
abc: 6.3079 10.9289 11.9026
angles: 90.00 100.17 90.00
Space group C2/m (No. 12)
One atom of each set of equivalent atoms:
Pr  0.2487  0.0000  0.2476
Pr  0.2501  0.1662  0.7519
Sm  0.0000  0.3333  0.5000
Er  0.0000  0.1666  0.0000
Er  0.0000  0.5000  0.0000
Tm  0.0000  0.0000  0.5000

Entry 4:
# Pr2Sm2YEr2
Theoretical powder diffraction line list, Cu Ka. Input: a crystal structure in Alexandria, relaxed with GGA-PBE.

Largest 6 diffraction maxima, by angle, 2θ = 10–80°:
2θ (°), I/Imax, h k l
30.30, 100.0, 1 1 2
35.13, 50.6, 4 0 1
50.51, 30.1, 4 2 1
60.03, 28.6, 7 1 0
60.12, 14.2, 5 1 3
62.96, 6.2, 6 2 -2

Crystal structure
abc: 11.4340 5.1103 8.0720
angles: 90.00 98.28 90.00
Space group C2/m (No. 12)
One atom of each set of equivalent atoms:
Pr  0.1434  0.0000  0.4281
Sm  0.0711  0.5000  0.7193
Y  0.0000  0.0000  0.0000
Er  0.2152  0.5000  0.1393

Entry 5:
# Pr3Sm6Y2Er
Theoretical powder diffraction line list, Cu Ka. Input: a crystal structure in Alexandria, relaxed with GGA-PBE.

Largest 6 diffraction maxima, by angle, 2θ = 10–80°:
2θ (°), I/Imax, h k l
30.08, 99.4, 1 3 1
30.12, 98.6, 2 0 -2
34.90, 100.0, 2 0 2
50.18, 71.1, 0 6 0
59.61, 63.6, 4 0 0
59.70, 20.8, 2 0 6

Crystal structure
abc: 6.3026 10.9181 12.0412
angles: 90.00 100.04 90.00
Space group C2/m (No. 12)
One atom of each set of equivalent atoms:
Pr  0.0000  0.0000  0.0000
Pr  0.0000  0.3335  0.0000
Sm  0.2480  0.3339  0.7453
Sm  0.2496  0.0000  0.7453
Y  0.0000  0.1667  0.5000
Er  0.0000  0.5000  0.5000

Entry 6:
# PrSm6Y2Er
Theoretical powder diffraction line list, Cu Ka. Input: a crystal structure in Alexandria, relaxed with GGA-PBE.

Largest 6 diffraction maxima, by angle, 2θ = 10–80°:
2θ (°), I/Imax, h k l
28.11, 100.0, 1 3 2
29.88, 96.1, 3 1 -1
30.48, 90.7, 2 2 2
30.64, 85.8, 0 2 3
31.00, 67.8, 1 5 0
31.25, 71.7, 2 4 -1

Crystal structure
abc: 9.3984 15.1624 9.5292
angles: 90.00 95.52 90.00
Space group C2/c (No. 15)
One atom of each set of equivalent atoms:
Pr  0.0000  0.0340  0.2500
Sm  0.0621  0.1778  0.9423
Sm  0.0927  0.3856  0.1151
Sm  0.2184  0.2245  0.3155
Y  0.2465  0.4516  0.4486
Er  0.0000  0.4112  0.7500

Entry 7:
# PrSm5YEr2
Theoretical powder diffraction line list, Cu Ka. Input: a crystal structure in Alexandria, relaxed with GGA-PBE.

Largest 6 diffraction maxima, by angle, 2θ = 10–80°:
2θ (°), I/Imax, h k l
27.63, 16.9, 0 6 1
29.95, 38.6, 1 1 3
31.67, 38.2, 2 0 0
31.87, 100.0, 1 5 2
56.54, 19.8, 3 5 2
58.61, 12.8, 1 11 3

Crystal structure
abc: 5.6499 20.3139 10.7006
angles: 90.00 90.00 90.00
Space group Cmc2_1 (No. 36)
One atom of each set of equivalent atoms:
Pr  0.0000  0.2023  0.0000
Sm  0.0000  0.0163  0.0129
Sm  0.0000  0.2804  0.2971
Sm  0.0000  0.2985  0.6953
Sm  0.0000  0.3932  0.0151
Sm  0.0000  0.4787  0.7301
Y  0.0000  0.4112  0.4444
Er  0.0000  0.1104  0.7263
Er  0.0000  0.1153  0.3076

Entry 8:
# PrSm2YEr
Theoretical powder diffraction line list, Cu Ka. Input: a crystal structure in Alexandria, relaxed with GGA-PBE.

Largest 6 diffraction maxima, by angle, 2θ = 10–80°:
2θ (°), I/Imax, h k l
26.03, 82.5, 2 2 0
28.95, 89.4, 0 2 2
30.69, 63.5, 0 4 0
32.47, 100.0, 2 0 2
35.44, 45.1, 1 3 2
45.28, 66.6, 2 4 2

Crystal structure
abc: 8.4617 11.6530 7.2721
angles: 90.00 90.00 90.00
Space group Cmcm (No. 63)
One atom of each set of equivalent atoms:
Pr  0.0000  0.2257  0.2500
Sm  0.1903  0.0000  0.0000
Y  0.0000  0.4940  0.2500
Er  0.0000  0.2279  0.7500

Entry 9:
# Pr6SmY3Er2
Theoretical powder diffraction line list, Cu Ka. Input: a crystal structure in Alexandria, relaxed with GGA-PBE.

Largest 6 diffraction maxima, by angle, 2θ = 10–80°:
2θ (°), I/Imax, h k l
30.03, 100.0, 1 3 1
30.46, 32.1, 0 0 4
34.94, 66.8, 2 0 2
49.97, 24.2, 0 6 0
50.53, 24.2, 1 3 5
59.65, 18.9, 3 3 3

Crystal structure
abc: 6.3226 10.9519 11.9261
angles: 90.00 100.16 90.00
Space group C2/m (No. 12)
One atom of each set of equivalent atoms:
Pr  0.2497  0.0000  0.2491
Pr  0.2495  0.1670  0.7507
Sm  0.0000  0.5000  0.0000
Y  0.0000  0.0000  0.5000
Y  0.0000  0.3333  0.5000
Er  0.0000  0.1666  0.0000

Entry 10:
# Pr3ErSn
Theoretical powder diffraction line list, Cu Ka. Input: a crystal structure in Alexandria, relaxed with GGA-PBE.

Largest 6 diffraction maxima, by angle, 2θ = 10–80°:
2θ (°), I/Imax, h k l
29.88, 58.2, 2 0 2
31.17, 70.3, 4 0 0
33.18, 100.0, 0 2 2
36.35, 64.4, 3 1 2
39.66, 50.0, 3 3 0
46.16, 65.8, 4 2 2

Crystal structure
abc: 11.4763 8.4759 7.0075
angles: 90.00 90.00 90.00
Space group Ima2 (No. 46)
One atom of each set of equivalent atoms:
Pr  0.0260  0.2444  0.0000
Pr  0.2500  0.0761  0.7714
Er  0.2500  0.7438  0.0572
Sn  0.2500  0.0528  0.2754

Entry 11:
# Tb3Pr5Er2
Theoretical powder diffraction line list, Cu Ka. Input: a crystal structure in Alexandria, relaxed with GGA-PBE.

Largest 6 diffraction maxima, by angle, 2θ = 10–80°:
2θ (°), I/Imax, h k l
29.21, 93.8, 2 2 1
30.98, 100.0, 2 4 0
33.21, 46.0, 4 0 -2
35.60, 25.7, 2 0 -4
60.13, 23.4, 4 6 1
62.11, 26.0, 2 4 4

Crystal structure
abc: 10.7903 14.9065 10.1160
angles: 90.00 122.23 90.00
Space group C2/c (No. 15)
One atom of each set of equivalent atoms:
Tb  0.0000  0.2291  0.2500
Tb  0.1547  0.1250  0.0578
Pr  0.0000  0.0229  0.2500
Pr  0.0000  0.2718  0.7500
Pr  0.0000  0.4818  0.7500
Pr  0.2477  0.1293  0.7428
Er  0.1537  0.3715  0.5590

Entry 12:
# Tb5Pr6Er2
Theoretical powder diffraction line list, Cu Ka. Input: a crystal structure in Alexandria, relaxed with GGA-PBE.

Largest 6 diffraction maxima, by angle, 2θ = 10–80°:
2θ (°), I/Imax, h k l
30.73, 45.5, 4 1 0
30.98, 100.0, 1 7 0
31.67, 95.4, 2 3 1
33.72, 33.1, 2 4 1
36.11, 33.9, 3 3 1
50.15, 18.0, 0 0 2

Crystal structure
abc: 11.7519 20.8212 3.6382
angles: 90.00 90.00 90.00
Space group Pbam (No. 55)
One atom of each set of equivalent atoms:
Tb  0.0000  0.0000  0.0000
Tb  0.0921  0.2725  0.0000
Tb  0.1968  0.5561  0.0000
Pr  0.0619  0.4190  0.5000
Pr  0.0848  0.1320  0.5000
Pr  0.1719  0.8629  0.0000
Er  0.1654  0.7094  0.5000